Record 1
PmMnNi2H8: calculated X-ray powder pattern (Cu Kα, 1.54184 Å), based on a crystal structure in Alexandria, relaxed with GGA-PBE.
Peak positions follow from Bragg's law for the DFT cell and can differ from measured ones.

Top 8 peaks for 10 to 90 degrees two-theta, in order of falling intensity:
- 32.1°, rel. 1000, (1 0 4)
- 40.3°, rel. 808, (1 1 0)
- 23.6°, rel. 445, (1 0 1)
- 36.3°, rel. 443, (0 1 5)
- 53.4°, rel. 258, (1 1 6)
- 52.4°, rel. 245, (0 2 4)
- 68.1°, rel. 214, (2 1 4)
- 25.5°, rel. 189, (0 1 2)

Cell: 4.4778 4.4778 16.0499 Å, 90.00 90.00 120.00°
Space group R-3 (No. 148, hexagonal axes)
Asymmetric unit:
Pm: 0.0000 0.0000 0.0000 x3
Mn: 0.0000 0.0000 0.5000 x3
Ni: 0.0000 0.0000 0.2090 x6
H: 0.0000 0.0000 0.3088 x6
H: 0.0140 0.3737 0.7821 x18

Record 2
Hg4GeTe6: calculated X-ray powder pattern (Cu Kα, 1.54184 Å), based on a crystal structure in Alexandria, relaxed with GGA-PBE.
Peak positions follow from Bragg's law for the DFT cell and can differ from measured ones.

Top 8 peaks for 10 to 90 degrees two-theta, in order of falling intensity:
- 22.9°, rel. 1000, (3 1 -2)
- 40.6°, rel. 986, (3 3 -3)
- 26.7°, rel. 875, (2 2 -2)
- 21.9°, rel. 833, (2 0 2)
- 41.0°, rel. 732, (0 0 6)
- 25.8°, rel. 698, (4 0 -2)
- 25.5°, rel. 621, (0 2 2)
- 25.7°, rel. 603, (1 1 3)

Cell: 14.0369 8.2166 13.9733 Å, 90.00 109.25 90.00°
Space group Cc (No. 9)
Asymmetric unit:
Hg: 0.0000 0.0565 0.0000 x4
Hg: 0.1228 0.2849 0.3400 x4
Hg: 0.3105 0.3946 0.6954 x4
Hg: 0.3250 0.0883 0.0165 x4
Ge: 0.0612 0.2379 0.7586 x4
Te: 0.1050 0.4936 0.6719 x4
Te: 0.1379 0.2800 0.9525 x4
Te: 0.1417 0.0122 0.2044 x4
Te: 0.3161 0.2586 0.5054 x4
Te: 0.3673 0.2519 0.2116 x4
Te: 0.4373 0.2648 0.8869 x4

Record 3
BaAlPt4: calculated X-ray powder pattern (Cu Kα, 1.54184 Å), based on a crystal structure in Alexandria, relaxed with GGA-PBE.
Peak positions follow from Bragg's law for the DFT cell and can differ from measured ones.

Top 8 peaks for 10 to 90 degrees two-theta, in order of falling intensity:
- 38.3°, rel. 1000, (3 1 1)
- 40.1°, rel. 705, (2 2 2)
- 19.7°, rel. 540, (1 1 1)
- 61.9°, rel. 335, (5 1 1)
- 68.1°, rel. 322, (4 4 0)
- 82.1°, rel. 275, (6 2 2)
- 46.6°, rel. 215, (4 0 0)
- 51.1°, rel. 145, (3 3 1)

Cell: 7.7885 7.7885 7.7885 Å, 90.00 90.00 90.00°
Space group F-43m (No. 216)
Asymmetric unit:
Ba: 0.0000 0.0000 0.0000 x4
Al: 0.2500 0.2500 0.2500 x4
Pt: 0.1239 0.1239 0.6239 x16

Record 4
LiBeCu4: calculated X-ray powder pattern (Cu Kα, 1.54184 Å), based on a crystal structure in Alexandria, relaxed with GGA-PBE.
Peak positions follow from Bragg's law for the DFT cell and can differ from measured ones.

Top 8 peaks for 10 to 90 degrees two-theta, in order of falling intensity:
- 44.3°, rel. 1000, (2 0 -2)
- 43.8°, rel. 912, (0 1 -3)
- 48.4°, rel. 808, (2 -1 1)
- 44.7°, rel. 793, (1 1 2)
- 48.7°, rel. 678, (1 2 -1)
- 43.3°, rel. 598, (-1 2 1)
- 23.2°, rel. 583, (0 1 -1)
- 26.1°, rel. 514, (0 0 2)

Cell: 4.4733 4.5600 7.0233 Å, 90.17 103.16 99.18°
Space group P-1 (No. 2)
Asymmetric unit:
Li: 0.2063 0.3609 0.4540 x2
Be: 0.3246 0.1257 0.0507 x2
Cu: 0.0586 0.8463 0.2588 x2
Cu: 0.1062 0.6818 0.8902 x2
Cu: 0.3700 0.9010 0.6333 x2
Cu: 0.4885 0.5937 0.1893 x2